No. 1
# Li7B8C8
Simulated powder diffractogram, Cu Kα X-rays. Input: a cell relaxed with GGA-PBE.
Intensities are scaled so that the largest is 100.

The 10 most intense peaks (2θ from 10° to 80°), by angle:
Position (°2θ)  intensity  hkl
24.8  100.0  4 0 0
38.0  4.6  1 1 -2
45.9  20.4  5 1 -2
45.9  33.0  6 0 -4
46.1  10.2  2 0 4
50.9  19.7  8 0 0
68.5  7.0  0 2 0
68.8  13.2  3 1 -6
74.3  3.2  7 1 -6
74.5  3.3  1 1 6

Structural model:
```
data_Li7B8C8
_chemical_formula_sum 'Li14 B16 C16'
_cell_length_a 15.130
_cell_length_b 2.739
_cell_length_c 9.445
_cell_angle_alpha 90.00
_cell_angle_beta 108.40
_cell_angle_gamma 90.00
_space_group_name_H-M_alt 'C 1 2/m 1'
_space_group_IT_number 12
_space_group_name_Hall '-C 2y'
loop_
_atom_site_label
_atom_site_type_symbol
_atom_site_fract_x
_atom_site_fract_y
_atom_site_fract_z
Li1 Li 0.000 0.000 0.000
Li2 Li 0.001 0.500 0.272
Li3 Li 0.250 0.000 0.126
Li4 Li 0.250 0.000 0.624
B1 B 0.123 0.500 0.145
B2 B 0.125 0.000 0.894
B3 B 0.127 0.500 0.643
B4 B 0.129 0.000 0.398
C1 C 0.124 0.000 0.227
C2 C 0.124 0.500 0.977
C3 C 0.128 0.000 0.728
C4 C 0.132 0.500 0.480
```


No. 2
# LiB2C2
Simulated powder diffractogram, Cu Kα X-rays. Input: a cell relaxed with GGA-PBE.
Intensities are scaled so that the largest is 100.

The 10 most intense peaks (2θ from 10° to 80°), by angle:
Position (°2θ)  intensity  hkl
24.4  100.0  0 4 0
38.3  6.0  1 0 1
38.9  4.2  0 0 2
46.0  21.4  1 4 1
46.5  12.7  0 4 2
50.0  12.6  0 8 0
68.9  4.4  2 0 0
70.1  7.3  1 0 3
74.3  3.5  2 4 0
75.5  5.5  1 4 3

Structural model:
```
data_LiB2C2
_chemical_formula_sum 'Li4 B8 C8'
_cell_length_a 2.725
_cell_length_b 14.592
_cell_length_c 4.626
_cell_angle_alpha 90.00
_cell_angle_beta 90.00
_cell_angle_gamma 90.00
_space_group_name_H-M_alt 'I m m 2'
_space_group_IT_number 44
_space_group_name_Hall 'I 2 -2'
loop_
_atom_site_label
_atom_site_type_symbol
_atom_site_fract_x
_atom_site_fract_y
_atom_site_fract_z
Li1 Li 0.000 0.125 0.000
B1 B 0.000 0.000 0.664
B2 B 0.000 0.242 0.364
B3 B 0.000 0.500 0.672
C1 C 0.000 0.000 0.327
C2 C 0.000 0.258 0.701
C3 C 0.000 0.500 0.327
```


No. 3
# Li5B8C8
Simulated powder diffractogram, Cu Kα X-rays. Input: a cell relaxed with GGA-PBE.
Intensities are scaled so that the largest is 100.

The 10 most intense peaks (2θ from 10° to 80°), by angle:
Position (°2θ)  intensity  hkl
24.5  100.0  2 0 -2
38.3  9.6  2 0 2
45.7  7.3  0 0 4
45.8  13.9  1 1 -3
46.2  14.6  3 1 -1
46.4  6.4  4 0 0
50.2  14.8  4 0 -4
69.2  4.9  0 2 0
69.3  9.3  3 1 3
74.3  3.4  1 1 5

Structural model:
```
data_Li5B8C8
_chemical_formula_sum 'Li5 B8 C8'
_cell_length_a 8.590
_cell_length_b 2.717
_cell_length_c 8.715
_cell_angle_alpha 90.00
_cell_angle_beta 114.27
_cell_angle_gamma 90.00
_space_group_name_H-M_alt 'P 1 2/m 1'
_space_group_IT_number 10
_space_group_name_Hall '-P 2y'
loop_
_atom_site_label
_atom_site_type_symbol
_atom_site_fract_x
_atom_site_fract_y
_atom_site_fract_z
Li1 Li 0.000 0.000 0.000
Li2 Li 0.000 0.500 0.500
Li3 Li 0.271 0.000 0.770
Li4 Li 0.500 0.000 0.500
B1 B 0.043 0.000 0.296
B2 B 0.208 0.500 0.958
B3 B 0.289 0.500 0.548
B4 B 0.448 0.000 0.210
C1 C 0.043 0.500 0.790
C2 C 0.202 0.000 0.469
C3 C 0.288 0.000 0.041
C4 C 0.464 0.500 0.706
```


No. 4
# Li7B8C8
Simulated powder diffractogram, Cu Kα X-rays. Input: a cell relaxed with GGA-PBE.
Intensities are scaled so that the largest is 100.

The 10 most intense peaks (2θ from 10° to 80°), by angle:
Position (°2θ)  intensity  hkl
24.9  100.0  0 0 2
38.0  7.2  2 0 1
40.1  2.6  1 2 2
46.0  54.6  2 0 -1
46.1  10.5  2 0 3
51.2  19.8  0 0 4
68.6  7.1  0 4 1
68.7  14.0  3 2 2
74.3  6.2  0 4 3
74.4  3.1  3 2 4

Structural model:
```
data_Li7B8C8
_chemical_formula_sum 'Li7 B8 C8'
_cell_length_a 4.728
_cell_length_b 5.473
_cell_length_c 7.640
_cell_angle_alpha 79.67
_cell_angle_beta 72.07
_cell_angle_gamma 90.00
_space_group_name_H-M_alt 'P -1'
_space_group_IT_number 2
_space_group_name_Hall '-P 1'
loop_
_atom_site_label
_atom_site_type_symbol
_atom_site_fract_x
_atom_site_fract_y
_atom_site_fract_z
Li1 Li 0.000 0.000 0.000
Li2 Li 0.249 0.624 0.500
Li3 Li 0.251 0.126 0.501
Li4 Li 0.500 0.259 0.000
B1 B 0.038 0.190 0.249
B2 B 0.038 0.686 0.249
B3 B 0.460 0.563 0.747
B4 B 0.462 0.063 0.747
C1 C 0.205 0.436 0.254
C2 C 0.205 0.938 0.248
C3 C 0.297 0.313 0.745
C4 C 0.297 0.814 0.745
```


No. 5
# Li5B8C8
Simulated powder diffractogram, Cu Kα X-rays. Input: a cell relaxed with GGA-PBE.
Intensities are scaled so that the largest is 100.

The 10 most intense peaks (2θ from 10° to 80°), by angle:
Position (°2θ)  intensity  hkl
13.4  6.7  0 0 4
20.2  14.0  0 0 6
23.6  7.1  0 0 7
27.0  100.0  0 0 8
38.0  18.2  1 0 0
43.4  11.4  1 0 6
47.3  57.4  0 1 8
48.2  11.3  0 0 14
68.7  28.4  1 1 0
75.3  12.4  1 1 8

Structural model:
```
data_Li5B8C8
_chemical_formula_sum 'Li5 B8 C8'
_cell_length_a 2.7320
_cell_length_b 2.7320
_cell_length_c 26.4331
_cell_angle_alpha 90.00
_cell_angle_beta 90.00
_cell_angle_gamma 120.00
_space_group_name_H-M_alt 'P 3 m 1'
_space_group_IT_number 156
_space_group_name_Hall 'P 3 -2"'
loop_
_atom_site_label
_atom_site_type_symbol
_atom_site_fract_x
_atom_site_fract_y
_atom_site_fract_z
Li1 Li 0.0000 0.0000 0.0000
Li2 Li 0.0000 0.0000 0.1332
Li3 Li 0.0000 0.0000 0.4875
Li4 Li 0.0000 0.0000 0.6244
Li5 Li 0.0000 0.0000 0.8660
B1 B 0.3333 0.6667 0.2022
B2 B 0.3333 0.6667 0.4209
B3 B 0.3333 0.6667 0.6923
B4 B 0.3333 0.6667 0.9335
B5 B 0.6667 0.3333 0.0670
B6 B 0.6667 0.3333 0.2907
B7 B 0.6667 0.3333 0.5572
B8 B 0.6667 0.3333 0.7984
C1 C 0.3333 0.6667 0.0670
C2 C 0.3333 0.6667 0.2914
C3 C 0.3333 0.6667 0.5574
C4 C 0.3333 0.6667 0.8010
C5 C 0.6667 0.3333 0.1993
C6 C 0.6667 0.3333 0.4234
C7 C 0.6667 0.3333 0.6898
C8 C 0.6667 0.3333 0.9339
```


No. 6
# LiB2C2
Simulated powder diffractogram, Cu Kα X-rays. Input: a cell relaxed with GGA-PBE.
Intensities are scaled so that the largest is 100.

The 10 most intense peaks (2θ from 10° to 80°), by angle:
Position (°2θ)  intensity  hkl
19.4  7.3  0 0 3
25.9  100.0  0 0 4
38.5  5.7  0 2 -1
46.6  13.4  1 -1 4
46.8  6.0  -1 1 4
46.9  7.5  0 2 3
47.1  13.8  0 2 -5
53.3  8.9  0 0 8
68.9  5.8  2 0 -1
69.7  5.7  1 3 -2

Structural model:
```
data_LiB2C2
_chemical_formula_sum 'Li4 B8 C8'
_cell_length_a 2.725
_cell_length_b 4.674
_cell_length_c 14.002
_cell_angle_alpha 99.33
_cell_angle_beta 95.08
_cell_angle_gamma 90.30
_space_group_name_H-M_alt 'P 1'
_space_group_IT_number 1
_space_group_name_Hall 'P 1'
loop_
_atom_site_label
_atom_site_type_symbol
_atom_site_fract_x
_atom_site_fract_y
_atom_site_fract_z
Li1 Li 0.000 0.000 0.000
Li2 Li 0.122 0.139 0.260
Li3 Li 0.622 0.638 0.260
Li4 Li 0.872 0.864 0.737
B1 B 0.057 0.409 0.129
B2 B 0.187 0.873 0.392
B3 B 0.304 0.637 0.598
B4 B 0.436 0.104 0.866
B5 B 0.559 0.907 0.133
B6 B 0.686 0.373 0.392
B7 B 0.809 0.143 0.607
B8 B 0.936 0.597 0.868
C1 C 0.063 0.746 0.136
C2 C 0.184 0.533 0.387
C3 C 0.305 0.984 0.610
C4 C 0.441 0.759 0.868
C5 C 0.561 0.243 0.131
C6 C 0.685 0.033 0.388
C7 C 0.800 0.479 0.600
C8 C 0.941 0.257 0.866
```


No. 7
# Li5B8C8
Simulated powder diffractogram, Cu Kα X-rays. Input: a cell relaxed with GGA-PBE.
Intensities are scaled so that the largest is 100.

The 10 most intense peaks (2θ from 10° to 80°), by angle:
Position (°2θ)  intensity  hkl
24.5  100.0  0 0 2
38.3  5.9  1 2 0
38.4  3.5  2 0 0
46.0  34.8  2 0 -2
46.1  7.8  2 0 2
50.3  15.2  0 0 4
69.1  4.8  0 4 0
69.3  9.6  3 2 0
74.5  3.3  0 4 2
74.8  3.2  3 2 2

Structural model:
```
data_Li5B8C8
_chemical_formula_sum 'Li5 B8 C8'
_cell_length_a 4.693
_cell_length_b 5.438
_cell_length_c 7.262
_cell_angle_alpha 90.00
_cell_angle_beta 90.14
_cell_angle_gamma 90.00
_space_group_name_H-M_alt 'P 1 2 1'
_space_group_IT_number 3
_space_group_name_Hall 'P 2y'
loop_
_atom_site_label
_atom_site_type_symbol
_atom_site_fract_x
_atom_site_fract_y
_atom_site_fract_z
Li1 Li 0.000 0.000 0.000
Li2 Li 0.000 0.014 0.500
Li3 Li 0.000 0.529 0.500
Li4 Li 0.500 0.268 0.500
Li5 Li 0.500 0.293 0.000
B1 B 0.168 0.272 0.749
B2 B 0.172 0.769 0.750
B3 B 0.331 0.524 0.254
B4 B 0.333 0.018 0.253
C1 C 0.165 0.772 0.255
C2 C 0.172 0.270 0.256
C3 C 0.330 0.022 0.751
C4 C 0.333 0.520 0.745
```


No. 8
# LiB2C2
Simulated powder diffractogram, Cu Kα X-rays. Input: a cell relaxed with GGA-PBE.
Intensities are scaled so that the largest is 100.

The 10 most intense peaks (2θ from 10° to 80°), by angle:
Position (°2θ)  intensity  hkl
11.0  7.4  0 0 1
11.7  14.3  1 0 -1
20.6  5.3  2 0 -1
23.5  100.0  2 0 -2
38.4  6.5  1 1 1
44.8  12.4  1 1 -3
44.9  5.6  0 0 4
46.1  10.2  3 1 -1
48.0  10.6  4 0 -4
70.6  6.9  3 1 3

Structural model:
```
data_LiB2C2
_chemical_formula_sum 'Li4 B8 C8'
_cell_length_a 8.637
_cell_length_b 2.729
_cell_length_c 9.115
_cell_angle_alpha 90.00
_cell_angle_beta 117.65
_cell_angle_gamma 90.00
_space_group_name_H-M_alt 'P 1 2/m 1'
_space_group_IT_number 10
_space_group_name_Hall '-P 2y'
loop_
_atom_site_label
_atom_site_type_symbol
_atom_site_fract_x
_atom_site_fract_y
_atom_site_fract_z
Li1 Li 0.000 0.000 0.000
Li2 Li 0.215 0.000 0.735
Li3 Li 0.500 0.500 0.000
B1 B 0.016 0.500 0.790
B2 B 0.200 0.000 0.474
B3 B 0.293 0.000 0.029
B4 B 0.450 0.500 0.720
C1 C 0.060 0.000 0.285
C2 C 0.204 0.500 0.949
C3 C 0.269 0.500 0.559
C4 C 0.469 0.000 0.194
```